[1]
Diffraction record for BaTa4O14. The X-ray diffraction stick pattern is theoretical, not measured: it uses DFT lattice parameters and positions (GGA-PBE) and a wavelength of 1.5418 Å.
Peak positions follow from Bragg's law for the DFT cell and can differ from measured ones.

Crystal structure
```
BaTa4O14
1.0
3.785 2.186 6.127
-3.785 2.186 6.127
0.000 -4.371 6.127
Ba Ta O
1 4 14
direct
0.000 0.000 0.000
0.000 0.500 0.500
0.500 0.000 0.500
0.500 0.500 0.000
0.500 0.500 0.500
0.165 0.165 0.165
0.190 0.561 0.561
0.191 0.191 0.567
0.191 0.567 0.191
0.433 0.809 0.809
0.439 0.439 0.810
0.439 0.810 0.439
0.561 0.190 0.561
0.561 0.561 0.190
0.567 0.191 0.191
0.809 0.433 0.809
0.809 0.809 0.433
0.810 0.439 0.439
0.835 0.835 0.835
```

The 6 most intense peaks (10 to 90 degrees two-theta), by intensity:
Position (°2θ), Rel. int.
28.92, 100
27.66, 67
14.46, 67
14.34, 55
33.58, 48
29.15, 38

=====

[2]
Diffraction record for Ba4Ta2O9. The X-ray diffraction stick pattern is theoretical, not measured: it uses DFT lattice parameters and positions (GGA-PBE) and a wavelength of 1.5418 Å.
Peak positions follow from Bragg's law for the DFT cell and can differ from measured ones.

Crystal structure
```
Ba4Ta2O9
1.0
6.171 0.000 0.000
-3.085 5.344 0.000
0.000 0.000 16.698
Ba Ta O
8 4 18
direct
0.000 0.000 0.000
0.000 0.000 0.250
0.000 0.000 0.500
0.000 0.000 0.750
0.333 0.667 0.134
0.333 0.667 0.366
0.667 0.333 0.634
0.667 0.333 0.866
0.333 0.667 0.659
0.333 0.667 0.841
0.667 0.333 0.159
0.667 0.333 0.341
0.047 0.576 0.750
0.107 0.358 0.608
0.107 0.358 0.892
0.251 0.893 0.608
0.251 0.893 0.892
0.358 0.251 0.108
0.358 0.251 0.392
0.424 0.471 0.750
0.471 0.047 0.250
0.529 0.953 0.750
0.576 0.529 0.250
0.642 0.749 0.608
0.642 0.749 0.892
0.749 0.107 0.108
0.749 0.107 0.392
0.893 0.642 0.108
0.893 0.642 0.392
0.953 0.424 0.250
```

The 6 most intense peaks (10 to 90 degrees two-theta), by intensity:
Position (°2θ), Rel. int.
28.94, 100
27.11, 82
40.07, 40
51.30, 31
50.17, 29
59.98, 23

=====

[3]
Diffraction record for Ba2Ta2O7. The X-ray diffraction stick pattern is theoretical, not measured: it uses DFT lattice parameters and positions (GGA-PBE) and a wavelength of 1.5418 Å.
Peak positions follow from Bragg's law for the DFT cell and can differ from measured ones.

Crystal structure
```
Ba2Ta2O7
1.0
2.037 -13.973 0.000
2.037 13.973 0.000
0.000 0.000 5.942
Ba Ta O
4 4 14
direct
0.052 0.948 0.750
0.207 0.793 0.250
0.793 0.207 0.750
0.948 0.052 0.250
0.341 0.659 0.250
0.444 0.556 0.750
0.556 0.444 0.250
0.659 0.341 0.750
0.049 0.951 0.250
0.150 0.850 0.750
0.295 0.705 0.023
0.295 0.705 0.477
0.400 0.600 0.502
0.400 0.600 0.998
0.500 0.500 0.000
0.500 0.500 0.500
0.600 0.400 0.002
0.600 0.400 0.498
0.705 0.295 0.523
0.705 0.295 0.977
0.850 0.150 0.250
0.951 0.049 0.750
```

The 6 most intense peaks (10 to 90 degrees two-theta), by intensity:
Position (°2θ), Rel. int.
31.05, 100
28.23, 80
30.08, 52
44.49, 49
25.50, 36
24.28, 30

=====

[4]
Diffraction record for Ba2Ta2O7. The X-ray diffraction stick pattern is theoretical, not measured: it uses DFT lattice parameters and positions (GGA-PBE) and a wavelength of 1.5418 Å.
Peak positions follow from Bragg's law for the DFT cell and can differ from measured ones.

Crystal structure
```
Ba2Ta2O7
1.0
-3.860 5.408 4.031
3.860 -5.408 4.031
3.860 5.408 -4.031
Ba Ta O
4 4 14
direct
0.000 0.000 0.000
0.500 0.000 0.000
0.500 0.000 0.500
0.500 0.500 0.500
0.000 0.000 0.500
0.000 0.500 0.000
0.000 0.500 0.500
0.500 0.500 0.000
0.036 0.228 0.430
0.036 0.607 0.808
0.085 0.835 0.250
0.299 0.228 0.692
0.299 0.607 0.070
0.300 0.709 0.590
0.381 0.291 0.090
0.619 0.709 0.910
0.700 0.291 0.410
0.701 0.393 0.930
0.701 0.772 0.308
0.915 0.165 0.750
0.964 0.393 0.192
0.964 0.772 0.570
```

The 6 most intense peaks (10 to 90 degrees two-theta), by intensity:
Position (°2θ), Rel. int.
27.60, 100
28.41, 91
32.10, 55
46.80, 53
54.05, 33
55.45, 29

=====

[5]
Diffraction record for Ba3Ta4O12. The X-ray diffraction stick pattern is theoretical, not measured: it uses DFT lattice parameters and positions (GGA-PBE) and a wavelength of 1.5418 Å.
Peak positions follow from Bragg's law for the DFT cell and can differ from measured ones.

Crystal structure
```
Ba3Ta4O12
1.0
-4.082 4.082 4.082
4.082 -4.082 4.082
4.082 4.082 -4.082
Ba Ta O
3 4 12
direct
0.000 0.500 0.500
0.500 0.000 0.500
0.500 0.500 0.000
0.000 0.000 0.500
0.000 0.500 0.000
0.500 0.000 0.000
0.500 0.500 0.500
0.000 0.254 0.746
0.000 0.746 0.254
0.254 0.000 0.746
0.254 0.254 0.507
0.254 0.507 0.254
0.254 0.746 0.000
0.493 0.746 0.746
0.507 0.254 0.254
0.746 0.000 0.254
0.746 0.254 0.000
0.746 0.493 0.746
0.746 0.746 0.493
```

The 6 most intense peaks (10 to 90 degrees two-theta), by intensity:
Position (°2θ), Rel. int.
30.98, 100
55.10, 41
44.38, 29
89.91, 22
64.57, 18
73.33, 18

=====

[6]
Diffraction record for Ba2Ta15O32. The X-ray diffraction stick pattern is theoretical, not measured: it uses DFT lattice parameters and positions (GGA-PBE) and a wavelength of 1.5418 Å.
Peak positions follow from Bragg's law for the DFT cell and can differ from measured ones.

Crystal structure
```
Ba2Ta15O32
1.0
7.866 0.000 0.000
3.933 6.813 0.000
3.932 2.270 12.013
Ba Ta O
2 15 32
direct
0.000 0.000 0.000
0.280 0.280 0.159
0.084 0.323 0.676
0.111 0.567 0.876
0.168 0.714 0.283
0.196 0.957 0.483
0.323 0.916 0.676
0.364 0.196 0.483
0.445 0.112 0.876
0.501 0.502 0.496
0.567 0.446 0.876
0.640 0.641 0.080
0.713 0.835 0.283
0.779 0.779 0.663
0.834 0.169 0.283
0.916 0.085 0.676
0.957 0.365 0.483
0.003 0.179 0.375
0.101 0.837 0.784
0.107 0.993 0.202
0.172 0.288 0.957
0.178 0.444 0.375
0.277 0.102 0.784
0.288 0.582 0.957
0.299 0.712 0.393
0.307 0.401 0.580
0.401 0.712 0.580
0.402 0.403 0.792
0.402 0.602 0.175
0.443 0.003 0.375
0.459 0.878 0.984
0.568 0.684 0.766
0.568 0.974 0.579
0.582 0.173 0.957
0.596 0.299 0.393
0.601 0.822 0.175
0.679 0.460 0.984
0.684 0.981 0.766
0.698 0.108 0.202
0.711 0.597 0.393
0.712 0.307 0.580
0.820 0.404 0.175
0.837 0.278 0.784
0.877 0.680 0.984
0.877 0.878 0.367
0.879 0.569 0.579
0.973 0.880 0.579
0.981 0.569 0.766
0.992 0.699 0.202
```

The 6 most intense peaks (10 to 90 degrees two-theta), by intensity:
Position (°2θ), Rel. int.
27.10, 100
28.01, 93
34.94, 81
50.11, 76
36.29, 64
28.99, 60

=====

[7]
Diffraction record for Ba2Ta6Te2O21. The X-ray diffraction stick pattern is theoretical, not measured: it uses DFT lattice parameters and positions (GGA-PBE) and a wavelength of 1.5418 Å.
Peak positions follow from Bragg's law for the DFT cell and can differ from measured ones.

Crystal structure
```
Ba2Ta6Te2O21
1.0
8.441 -2.873 0.000
8.441 2.873 0.000
-1.155 0.000 9.672
Ba Ta Te O
2 6 2 21
direct
0.138 0.138 0.028
0.862 0.862 0.972
0.099 0.099 0.418
0.324 0.324 0.328
0.479 0.479 0.836
0.521 0.521 0.164
0.676 0.676 0.672
0.901 0.901 0.582
0.274 0.274 0.747
0.726 0.726 0.253
0.000 0.000 0.500
0.023 0.542 0.170
0.104 0.606 0.447
0.175 0.693 0.720
0.210 0.210 0.349
0.279 0.721 0.000
0.307 0.825 0.280
0.358 0.358 0.896
0.394 0.896 0.553
0.419 0.419 0.222
0.458 0.977 0.830
0.542 0.023 0.170
0.581 0.581 0.778
0.606 0.104 0.447
0.642 0.642 0.104
0.693 0.175 0.720
0.721 0.279 0.000
0.790 0.790 0.651
0.825 0.307 0.280
0.896 0.394 0.553
0.977 0.458 0.830
```

The 6 most intense peaks (10 to 90 degrees two-theta), by intensity:
Position (°2θ), Rel. int.
25.11, 100
30.88, 80
31.13, 52
24.77, 43
26.44, 38
22.11, 34